# 1
Simulated X-ray diffraction stick pattern of Cs2BaBr6O for Cu Kα X-rays, from a structure optimized by DFT (GGA-PBE).
No peak broadening, texture or thermal motion is included.

Cell and atoms:
Lattice parameters (Å, degrees): 7.668 7.668 14.017 90.00 90.00 90.00
Space group I4/mmm (No. 139)
Symmetry-distinct sites (fractional):
Cs: 0.000 0.500 0.250 (multiplicity 4)
Ba: 0.000 0.000 0.000 (multiplicity 2)
Br: 0.000 0.000 0.224 (multiplicity 4)
Br: 0.209 0.209 0.500 (multiplicity 8)
O: 0.000 0.000 0.500 (multiplicity 2)

Main lines, in order of falling intensity (2θ = 5–70°):
2θ 26.5, rel. 100
2θ 25.4, rel. 69
2θ 42.1, rel. 67
2θ 33.0, rel. 61
2θ 20.7, rel. 45
2θ 26.8, rel. 29
2θ 54.6, rel. 27
2θ 35.7, rel. 20
2θ 63.2, rel. 19
2θ 23.2, rel. 19

=====

# 2
Simulated X-ray diffraction stick pattern of Cs3LaCe2Te6 for Cu Kα X-rays, from a structure optimized by DFT (GGA-PBE).
No peak broadening, texture or thermal motion is included.

Cell and atoms:
Lattice parameters (Å, degrees): 8.221 14.237 9.317 90.00 107.11 90.00
Space group C2/m (No. 12)
Symmetry-distinct sites (fractional):
Cs: 0.000 0.000 0.000 (multiplicity 2)
Cs: 0.000 0.334 0.000 (multiplicity 4)
La: 0.000 0.500 0.500 (multiplicity 2)
Ce: 0.000 0.167 0.500 (multiplicity 4)
Te: 0.229 0.000 0.694 (multiplicity 4)
Te: 0.233 0.332 0.695 (multiplicity 8)

Main lines, in order of falling intensity (2θ = 5–70°):
2θ 25.4, rel. 100
2θ 37.9, rel. 38
2θ 34.6, rel. 32
2θ 46.2, rel. 20
2θ 61.3, rel. 17
2θ 9.9, rel. 10
2θ 52.3, rel. 10
2θ 66.4, rel. 10
2θ 56.7, rel. 9
2θ 32.0, rel. 8

=====

# 3
Simulated X-ray diffraction stick pattern of SrMgBr4 for Cu Kα X-rays, from a structure optimized by DFT (GGA-PBE).
No peak broadening, texture or thermal motion is included.

Cell and atoms:
Lattice parameters (Å, degrees): 9.944 9.944 8.867 90.00 90.00 90.00
Space group I4_1/amd (No. 141, origin choice 2)
Symmetry-distinct sites (fractional):
Sr: 0.000 0.250 0.375 (multiplicity 4)
Mg: 0.000 0.250 0.875 (multiplicity 4)
Br: 0.000 0.064 0.685 (multiplicity 16)

Main lines, in order of falling intensity (2θ = 5–70°):
2θ 28.8, rel. 100
2θ 17.8, rel. 70
2θ 26.9, rel. 69
2θ 35.0, rel. 61
2θ 31.6, rel. 61
2θ 43.7, rel. 57
2θ 34.0, rel. 39
2θ 36.1, rel. 32
2θ 50.4, rel. 30
2θ 46.8, rel. 27